Starting from DFT lattice parameters and positions (GGA-PBE), the X-ray powder pattern of Tb3Pm2PrY6 was calculated for Cu Kα (weighted mean of Kα1 and Kα2).
No peak broadening, texture or thermal motion is included.

Largest 8 diffraction maxima, low angle first, 2θ from 10° to 90°:
2.936 Å, I = 100
2.921 Å, I = 33
2.539 Å, I = 67
1.799 Å, I = 24
1.792 Å, I = 23
1.533 Å, I = 23
1.531 Å, I = 19
1.527 Å, I = 14

Structure:
Cell lengths 6.230, 6.230, 11.865 Å; angles 95.00, 95.00, 119.96 degrees
Fractional positions:
Tb  0.000  0.000  0.000
Tb  0.333  0.667  0.000
Tb  0.667  0.333  0.000
Pm  0.167  0.833  0.500
Pm  0.833  0.167  0.500
Pr  0.500  0.500  0.500
Y  0.082  0.415  0.247
Y  0.251  0.251  0.753
Y  0.415  0.082  0.247
Y  0.585  0.918  0.753
Y  0.749  0.749  0.247
Y  0.918  0.585  0.753

***

Starting from DFT lattice parameters and positions (GGA-PBE), the X-ray powder pattern of Ce3Bi4Rh3 was calculated for Cu Kα (weighted mean of Kα1 and Kα2).
No peak broadening, texture or thermal motion is included.

Largest 8 diffraction maxima, low angle first, 2θ from 10° to 90°:
3.146 Å, I = 34
2.659 Å, I = 100
2.225 Å, I = 21
2.031 Å, I = 20
1.951 Å, I = 17
1.614 Å, I = 11
1.573 Å, I = 12
1.467 Å, I = 10

Structure:
Cell lengths 8.616, 8.616, 8.616 Å; angles 109.47, 109.47, 109.47 degrees
Fractional positions:
Ce  0.125  0.875  0.250
Ce  0.250  0.125  0.875
Ce  0.375  0.625  0.750
Ce  0.625  0.750  0.375
Ce  0.750  0.375  0.625
Ce  0.875  0.250  0.125
Bi  0.000  0.172  0.500
Bi  0.000  0.672  0.500
Bi  0.172  0.500  0.000
Bi  0.328  0.328  0.328
Bi  0.500  0.000  0.172
Bi  0.500  0.000  0.672
Bi  0.672  0.500  0.000
Bi  0.828  0.828  0.828
Rh  0.125  0.750  0.875
Rh  0.250  0.625  0.375
Rh  0.375  0.250  0.625
Rh  0.625  0.375  0.250
Rh  0.750  0.875  0.125
Rh  0.875  0.125  0.750

***

Number 1 is which compound? Tb3Pm2PrY6

***

Repeat the second record exactly.
Starting from DFT lattice parameters and positions (GGA-PBE), the X-ray powder pattern of Ce3Bi4Rh3 was calculated for Cu Kα (weighted mean of Kα1 and Kα2).
No peak broadening, texture or thermal motion is included.

Largest 8 diffraction maxima, low angle first, 2θ from 10° to 90°:
3.146 Å, I = 34
2.659 Å, I = 100
2.225 Å, I = 21
2.031 Å, I = 20
1.951 Å, I = 17
1.614 Å, I = 11
1.573 Å, I = 12
1.467 Å, I = 10

Structure:
Cell lengths 8.616, 8.616, 8.616 Å; angles 109.47, 109.47, 109.47 degrees
Fractional positions:
Ce  0.125  0.875  0.250
Ce  0.250  0.125  0.875
Ce  0.375  0.625  0.750
Ce  0.625  0.750  0.375
Ce  0.750  0.375  0.625
Ce  0.875  0.250  0.125
Bi  0.000  0.172  0.500
Bi  0.000  0.672  0.500
Bi  0.172  0.500  0.000
Bi  0.328  0.328  0.328
Bi  0.500  0.000  0.172
Bi  0.500  0.000  0.672
Bi  0.672  0.500  0.000
Bi  0.828  0.828  0.828
Rh  0.125  0.750  0.875
Rh  0.250  0.625  0.375
Rh  0.375  0.250  0.625
Rh  0.625  0.375  0.250
Rh  0.750  0.875  0.125
Rh  0.875  0.125  0.750